No. 1
For Rb2Au3, a PBE-relaxed structure gives the theoretical X-ray diffraction stick pattern in this record (Cu Kα, 1.54184 Å).
Peak positions follow from Bragg's law for the DFT cell and can differ from measured ones.

Main lines, by intensity (15° ≤ 2θ ≤ 90°):
d_spacing, two_theta, I (rel.)
5.889, 15.04, 100
2.423, 37.11, 78
3.050, 29.28, 77
2.801, 31.95, 59
2.479, 36.24, 54
2.240, 40.25, 50
4.940, 17.96, 49
2.690, 33.31, 47
1.699, 53.97, 35
2.117, 42.72, 35
1.802, 50.67, 26
4.481, 19.81, 26

Atomic structure:
Cell lengths 6.549, 6.549, 9.072 Å; angles 90.00, 90.00, 128.11 degrees
Positions (direct):
Rb 0.169 0.831 0.908
Rb 0.331 0.669 0.408
Rb 0.669 0.331 0.592
Rb 0.831 0.169 0.092
Au 0.000 0.000 0.500
Au 0.182 0.318 0.750
Au 0.318 0.182 0.250
Au 0.500 0.500 0.000
Au 0.682 0.818 0.750
Au 0.818 0.682 0.250

No. 2
For Er3In4Co2, a PBE-relaxed structure gives the theoretical X-ray diffraction stick pattern in this record (Cu Kα, 1.54184 Å).
Peak positions follow from Bragg's law for the DFT cell and can differ from measured ones.

Main lines, by intensity (15° ≤ 2θ ≤ 90°):
d_spacing, two_theta, I (rel.)
2.646, 33.88, 100
2.581, 34.75, 69
2.467, 36.42, 57
2.277, 39.59, 31
1.435, 65.01, 29
2.091, 43.26, 25
1.468, 63.38, 24
1.784, 51.21, 16
1.673, 54.88, 16
1.404, 66.60, 13
1.540, 60.07, 12
3.162, 28.22, 9

Atomic structure:
Cell lengths 7.886, 7.886, 3.568 Å; angles 90.00, 90.00, 120.00 degrees
Positions (direct):
Er 0.044 0.623 0.000
Er 0.377 0.421 0.000
Er 0.579 0.956 0.000
In 0.257 0.004 0.500
In 0.667 0.333 0.500
In 0.747 0.743 0.500
In 0.996 0.253 0.500
Co 0.000 0.000 0.000
Co 0.333 0.667 0.500

No. 3
For TbSm7Al4, a PBE-relaxed structure gives the theoretical X-ray diffraction stick pattern in this record (Cu Kα, 1.54184 Å).
Peak positions follow from Bragg's law for the DFT cell and can differ from measured ones.

Main lines, by intensity (15° ≤ 2θ ≤ 90°):
d_spacing, two_theta, I (rel.)
2.797, 32.00, 100
2.964, 30.15, 82
2.935, 30.46, 75
3.379, 26.37, 70
3.118, 28.63, 63
3.799, 23.42, 62
2.388, 37.67, 44
2.155, 41.93, 41
2.082, 43.46, 41
2.623, 34.19, 36
2.021, 44.85, 31
1.481, 62.75, 29

Atomic structure:
Cell lengths 7.561, 7.561, 10.613 Å; angles 121.66, 121.66, 43.42 degrees
Positions (direct):
Tb 0.000 0.000 0.000
Sm 0.065 0.065 0.388
Sm 0.208 0.208 0.879
Sm 0.295 0.295 0.353
Sm 0.500 0.500 0.000
Sm 0.705 0.705 0.647
Sm 0.792 0.792 0.121
Sm 0.935 0.935 0.612
Al 0.325 0.325 0.668
Al 0.447 0.447 0.239
Al 0.553 0.553 0.761
Al 0.675 0.675 0.332

No. 4
For BaNaPd2F8, a PBE-relaxed structure gives the theoretical X-ray diffraction stick pattern in this record (Cu Kα, 1.54184 Å).
Peak positions follow from Bragg's law for the DFT cell and can differ from measured ones.

Main lines, by intensity (15° ≤ 2θ ≤ 90°):
d_spacing, two_theta, I (rel.)
3.858, 23.06, 100
3.069, 29.10, 95
3.411, 26.12, 67
2.092, 43.26, 56
1.939, 46.86, 43
2.909, 30.73, 41
2.376, 37.86, 40
5.003, 17.73, 27
5.325, 16.65, 25
1.944, 46.72, 25
1.660, 55.34, 23
1.820, 50.13, 22

Atomic structure:
Cell lengths 6.037, 6.043, 6.704 Å; angles 104.60, 114.57, 104.94 degrees
Positions (direct):
Ba 0.000 0.000 0.000
Na 0.769 0.270 0.501
Pd 0.240 0.739 0.500
Pd 0.498 0.497 0.000
F 0.112 0.695 0.725
F 0.133 0.226 0.754
F 0.337 0.814 0.266
F 0.472 0.378 0.246
F 0.541 0.587 0.745
F 0.549 0.070 0.732
F 0.842 0.794 0.254
F 0.969 0.386 0.275

No. 5
For Y2HfCo9, a PBE-relaxed structure gives the theoretical X-ray diffraction stick pattern in this record (Cu Kα, 1.54184 Å).
Peak positions follow from Bragg's law for the DFT cell and can differ from measured ones.

Main lines, by intensity (15° ≤ 2θ ≤ 90°):
d_spacing, two_theta, I (rel.)
2.095, 43.18, 100
2.438, 36.86, 42
2.484, 36.17, 41
2.104, 42.99, 38
2.699, 33.19, 37
1.331, 70.77, 21
1.219, 78.45, 20
2.047, 44.25, 18
2.081, 43.49, 18
1.408, 66.40, 16
1.818, 50.17, 14
1.350, 69.68, 14

Atomic structure:
Cell lengths 8.659, 8.659, 8.659 Å; angles 32.71, 32.71, 32.71 degrees
Positions (direct):
Y 0.139 0.139 0.139
Y 0.861 0.861 0.861
Hf 0.000 0.000 0.000
Co 0.079 0.580 0.580
Co 0.334 0.334 0.334
Co 0.420 0.420 0.921
Co 0.420 0.921 0.420
Co 0.500 0.500 0.500
Co 0.580 0.079 0.580
Co 0.580 0.580 0.079
Co 0.666 0.666 0.666
Co 0.921 0.420 0.420

No. 6
For LiW, a PBE-relaxed structure gives the theoretical X-ray diffraction stick pattern in this record (Cu Kα, 1.54184 Å).
Peak positions follow from Bragg's law for the DFT cell and can differ from measured ones.

Main lines, by intensity (15° ≤ 2θ ≤ 90°):
d_spacing, two_theta, I (rel.)
5.734, 15.45, 100
2.156, 41.90, 70
2.388, 37.68, 41
3.447, 25.85, 40
2.121, 42.63, 22
1.512, 61.30, 15
1.705, 53.76, 14
2.019, 44.91, 14
1.338, 70.39, 13
1.245, 76.53, 12
1.747, 52.36, 12
1.903, 47.79, 10

Atomic structure:
Cell lengths 5.874, 5.874, 4.313 Å; angles 90.00, 90.00, 154.93 degrees
Positions (direct):
Li 0.054 0.946 0.750
Li 0.946 0.054 0.250
W 0.304 0.696 0.750
W 0.696 0.304 0.250